# 1
Simulated X-ray diffraction stick pattern
Compound: Dy4PPtS2
Radiation: copper Kα
Structure: a crystal structure in Alexandria, relaxed with PBE

Largest 8 diffraction maxima, most intense first, 2θ from 10° to 90°:
d [Å]	two_theta	I/Imax
2.824	31.69	100
2.002	45.30	25
1.992	45.54	24
6.574	13.47	14
3.236	27.56	13
2.019	44.89	13
1.618	56.91	13
1.412	66.19	12

Atomic structure:
abc: 6.9219 3.9480 6.9679
angles: 90.00 108.88 90.00
Space group P2/m (No. 10)
Asymmetric unit:
Dy: 0.2451 0.0000 0.2465
Dy: 0.2490 0.5000 0.7522
P: 0.0000 0.5000 0.0000
Pt: 0.5000 0.0000 0.0000
S: 0.0000 0.0000 0.5000
S: 0.5000 0.5000 0.5000

---

# 2
Simulated X-ray diffraction stick pattern
Compound: CaPm14Sm
Radiation: copper Kα
Structure: a crystal structure in Alexandria, relaxed with PBE

Largest 8 diffraction maxima, most intense first, 2θ from 10° to 90°:
d [Å]	two_theta	I/Imax
2.988	29.91	100
2.593	34.60	34
1.563	59.12	29
1.828	49.90	24
2.577	34.81	17
1.556	59.41	14
1.494	62.14	12
1.833	49.73	12

Atomic structure:
abc: 7.3331 7.3331 10.3082
angles: 90.00 90.00 90.00
Space group P4/mmm (No. 123)
Asymmetric unit:
Ca: 0.0000 0.0000 0.0000
Pm: 0.0000 0.0000 0.5000
Pm: 0.0000 0.5000 0.0000
Pm: 0.0000 0.5000 0.5000
Pm: 0.2535 0.2535 0.2527
Pm: 0.5000 0.5000 0.5000
Sm: 0.5000 0.5000 0.0000